Computed PXRD pattern of La8Hf4MgO20 for CuKα, from a cell relaxed with GGA-PBE.
Peak positions follow from Bragg's law for the DFT cell and can differ from measured ones.

Atomic structure:
```
data_La8Hf4MgO20
_cell_length_a 11.307
_cell_length_b 3.940
_cell_length_c 12.062
_cell_angle_alpha 90.00
_cell_angle_beta 90.97
_cell_angle_gamma 90.00
_symmetry_space_group_name_H-M 'P 1 m 1'
_symmetry_Int_Tables_number 6
loop_
_symmetry_equiv_pos_as_xyz
'x,y,z'
'x,-y,z'
loop_
_atom_site_label
_atom_site_fract_x
_atom_site_fract_y
_atom_site_fract_z
La1 0.000 0.000 0.000
La2 0.013 0.000 0.670
La3 0.262 0.500 0.183
La4 0.282 0.500 0.522
La5 0.501 0.000 0.961
La6 0.522 0.000 0.310
La7 0.754 0.500 0.807
La8 0.785 0.500 0.468
Hf1 0.055 0.000 0.376
Hf2 0.210 0.500 0.857
Hf3 0.572 0.000 0.624
Hf4 0.708 0.500 0.132
Mg1 0.966 0.500 0.216
O1 0.066 0.000 0.199
O2 0.126 0.500 0.352
O3 0.128 0.500 0.009
O4 0.152 0.000 0.855
O5 0.161 0.500 0.695
O6 0.162 0.000 0.510
O7 0.371 0.000 0.143
O8 0.377 0.500 0.900
O9 0.388 0.500 0.343
O10 0.407 0.000 0.576
O11 0.614 0.000 0.791
O12 0.624 0.500 0.981
O13 0.627 0.500 0.631
O14 0.644 0.500 0.289
O15 0.648 0.000 0.131
O16 0.655 0.000 0.476
O17 0.875 0.500 0.071
O18 0.881 0.000 0.842
O19 0.887 0.500 0.654
O20 0.920 0.000 0.479
```

The 10 most intense peaks (2θ = 10–90°), by intensity:
- hkl 2 1 0, 2θ = 27.60°, I = 100
- hkl 0 1 3, 2θ = 31.80°, I = 44
- hkl 2 0 -3, 2θ = 27.00°, I = 42
- hkl 2 0 3, 2θ = 27.44°, I = 37
- hkl 0 2 0, 2θ = 46.06°, I = 27
- hkl 1 0 -6, 2θ = 45.75°, I = 24
- hkl 4 1 -3, 2θ = 45.18°, I = 22
- hkl 2 2 3, 2θ = 54.45°, I = 15
- hkl 1 1 -3, 2θ = 32.69°, I = 13
- hkl 3 0 3, 2θ = 32.88°, I = 12